# YMg6CoO8
Computed X-ray diffraction stick pattern, λ = 1.5418 Å (Cu Kα). Input: a cell relaxed with PBE+U.
Lines closer than 0.1° are merged.

```
data_YMg6CoO8
_chemical_formula_sum 'Y1 Mg6 Co1 O8'
_cell_length_a 4.3849
_cell_length_b 4.3849
_cell_length_c 8.9278
_cell_angle_alpha 90.00
_cell_angle_beta 90.00
_cell_angle_gamma 90.00
_symmetry_space_group_name_H-M 'P 4/m m m'
_symmetry_Int_Tables_number 123
_symmetry_space_group_name_Hall '-P 4 2'
loop_
_atom_site_label
_atom_site_type_symbol
_atom_site_fract_x
_atom_site_fract_y
_atom_site_fract_z
_atom_site_occupancy
Y1 Y 0.0000 0.0000 0.0000 1
Mg1 Mg 0.0000 0.5000 0.2746 1
Mg2 Mg 0.5000 0.5000 0.0000 1
Mg3 Mg 0.5000 0.5000 0.5000 1
Co1 Co 0.0000 0.0000 0.5000 1
O1 O 0.0000 0.0000 0.2482 1
O2 O 0.0000 0.5000 0.0000 1
O3 O 0.0000 0.5000 0.5000 1
O4 O 0.5000 0.5000 0.2495 1
```

Principal peaks in the range 5° ≤ 2θ ≤ 70°, by angle:
(0 0 2), 4.464 Å, rel. 20
(1 0 0), 4.385 Å, rel. 35
(1 0 2), 3.128 Å, rel. 30
(1 1 0), 3.101 Å, rel. 15
(1 1 2), 2.547 Å, rel. 47
(0 0 4), 2.232 Å, rel. 48
(2 0 0), 2.192 Å, rel. 100
(2 1 2), 1.795 Å, rel. 11
(2 0 4), 1.564 Å, rel. 55
(2 2 0), 1.550 Å, rel. 29